Starting from a structure optimized by DFT (GGA-PBE), the PXRD pattern of CdH6CI3N3 was calculated for Cu Kα (λ = 1.5418 Å).

The 10 most intense peaks (10° ≤ 2θ ≤ 90°), most intense first:
- 24.81 deg, d 3.588, I 1000
- 22.88 deg, d 3.886, I 676
- 10.92 deg, d 8.100, I 590
- 25.25 deg, d 3.528, I 562
- 14.58 deg, d 6.077, I 521
- 12.55 deg, d 7.055, I 473
- 40.31 deg, d 2.238, I 420
- 28.99 deg, d 3.080, I 406
- 30.78 deg, d 2.905, I 348
- 35.82 deg, d 2.507, I 327

Structural model:
Unit cell a=8.193 b=16.199 c=8.125 alpha=90.00 beta=106.93 gamma=90.00
Space group Cc (No. 9)
Inequivalent atoms, fractional coordinates:
1 Cd 0.000 0.047 0.000 [4 per cell]
2 H 0.028 0.412 0.588 [4 per cell]
3 H 0.028 0.418 0.303 [4 per cell]
4 H 0.398 0.297 0.995 [4 per cell]
5 H 0.408 0.292 0.784 [4 per cell]
6 H 0.474 0.180 0.173 [4 per cell]
7 H 0.480 0.170 0.673 [4 per cell]
8 C 0.463 0.184 0.918 [4 per cell]
9 I 0.208 0.049 0.353 [4 per cell]
10 I 0.214 0.453 0.994 [4 per cell]
11 I 0.451 0.286 0.424 [4 per cell]
12 N 0.422 0.264 0.899 [4 per cell]
13 N 0.479 0.140 0.784 [4 per cell]
14 N 0.484 0.147 0.070 [4 per cell]